This entry pairs a crystal structure of Ba3PaCo2O9 with its theoretical powder X-ray diffraction pattern. Radiation: copper Kα. Structure: DFT lattice parameters and positions (GGA+U).
Lines closer than 0.1° are merged.

Largest 8 diffraction maxima, low angle first, 10 to 90 degrees two-theta:
2θ/deg	I/Imax	index
17.48	9	1 0 0
21.42	9	0 1 1
30.47	100	1 1 0
43.64	30	2 0 2
54.21	30	3 0 0
63.53	9	2 2 0
72.06	9	3 1 2
88.26	11	4 1 0

Structural model:
Cell lengths 5.8573, 5.8573, 7.2082 Å; angles 90.00, 90.00, 120.00 degrees
Space group P-3m1 (No. 164)
Inequivalent atoms, fractional coordinates:
Ba  0.0000  0.0000  0.0000 [1 per cell]
Ba  0.3333  0.6667  0.6914 [2 per cell]
Pa  0.0000  0.0000  0.5000 [1 per cell]
Co  0.3333  0.6667  0.1560 [2 per cell]
O  0.0000  0.5000  0.0000 [3 per cell]
O  0.1720  0.3439  0.3225 [6 per cell]